Record 1
For Na3Al2P2O8F3, a DFT-relaxed cell (PBE, the Materials Project) gives the computed X-ray diffraction stick pattern in this record (a wavelength of 1.5418 Å).
Neutral-atom scattering factors, no anomalous dispersion.

The 12 most intense peaks (10° ≤ 2θ ≤ 80°), sorted by position:
2theta  I/Imax
16.5  31.7
17.0  40.4
26.4  34.0
28.4  62.8
29.3  24.0
33.3  100.0
41.3  43.3
44.1  24.7
54.2  19.9
58.8  27.4
62.9  13.8
72.2  16.8

Structural model:
Cell: 6.2721 10.4468 6.2811 Å, 90.00 90.16 90.00°
Positions (direct):
1 Na 0.0000 0.0000 0.0000
2 Na 0.0158 0.5000 0.4290
3 Na 0.1041 0.5000 0.8965
4 Na 0.4823 0.5000 0.4437
5 Na 0.5250 0.0000 0.9230
6 Na 0.6027 0.0000 0.4007
7 Al 0.2428 0.1800 0.6414
8 Al 0.2428 0.8200 0.6414
9 Al 0.7449 0.3197 0.1416
10 Al 0.7449 0.6803 0.1416
11 P 0.2533 0.2495 0.1507
12 P 0.2533 0.7505 0.1507
13 P 0.7523 0.2512 0.6503
14 P 0.7523 0.7488 0.6503
15 O 0.0516 0.3361 0.1506
16 O 0.0516 0.6639 0.1506
17 O 0.2544 0.1627 0.9517
18 O 0.2544 0.8373 0.9517
19 O 0.2578 0.1595 0.3462
20 O 0.2578 0.8405 0.3462
21 O 0.4455 0.3405 0.1501
22 O 0.4455 0.6595 0.1501
23 O 0.5503 0.1648 0.6499
24 O 0.5503 0.8352 0.6499
25 O 0.7518 0.3383 0.4511
26 O 0.7518 0.6617 0.4511
27 O 0.7594 0.3398 0.8474
28 O 0.7594 0.6602 0.8474
29 O 0.9447 0.1603 0.6481
30 O 0.9447 0.8397 0.6481
31 F 0.2446 0.3562 0.6396
32 F 0.2446 0.6438 0.6396
33 F 0.2554 0.0000 0.6551
34 F 0.7447 0.1437 0.1439
35 F 0.7447 0.8563 0.1439
36 F 0.7550 0.5000 0.1547

***

Record 2
For SrEuSnSbO6, a DFT-relaxed cell (PBE, the Materials Project) gives the computed X-ray diffraction stick pattern in this record (a wavelength of 1.5418 Å).
Neutral-atom scattering factors, no anomalous dispersion.

The 12 most intense peaks (10° ≤ 2θ ≤ 80°), sorted by position:
2theta  I/Imax
18.4  4.3
30.3  100.0
35.7  2.7
37.3  1.8
43.4  30.9
47.5  1.2
53.8  40.9
57.4  0.9
63.0  19.3
66.3  0.9
71.5  18.0
79.6  6.5

Structural model:
Cell: 5.8996 5.8996 5.8996 Å, 60.00 60.00 60.00°
Positions (direct):
1 Sr 0.0000 0.0000 0.0000
2 Eu 0.5000 0.5000 0.5000
3 Sn 0.7500 0.7500 0.7500
4 Sb 0.2500 0.2500 0.2500
5 O 0.0010 0.0010 0.4990
6 O 0.0010 0.4990 0.0010
7 O 0.0010 0.4990 0.4990
8 O 0.4990 0.0010 0.0010
9 O 0.4990 0.0010 0.4990
10 O 0.4990 0.4990 0.0010

***

Record 3
For LiTb2Ir, a DFT-relaxed cell (PBE, the Materials Project) gives the computed X-ray diffraction stick pattern in this record (a wavelength of 1.5418 Å).
Neutral-atom scattering factors, no anomalous dispersion.

The 11 most intense peaks (10° ≤ 2θ ≤ 80°), sorted by position:
2theta  I/Imax
22.0  30.7
25.5  7.2
36.3  100.0
42.9  16.5
44.9  2.1
52.3  17.8
57.4  7.1
59.0  2.7
65.3  36.4
69.8  5.3
77.1  11.4

Structural model:
Cell: 6.9972 6.9972 6.9972 Å, 90.00 90.00 90.00°
Positions (direct):
1 Li 0.0000 0.0000 0.0000
2 Li 0.0000 0.5000 0.5000
3 Li 0.5000 0.0000 0.5000
4 Li 0.5000 0.5000 0.0000
5 Tb 0.2500 0.2500 0.2500
6 Tb 0.2500 0.2500 0.7500
7 Tb 0.2500 0.7500 0.2500
8 Tb 0.2500 0.7500 0.7500
9 Tb 0.7500 0.2500 0.2500
10 Tb 0.7500 0.2500 0.7500
11 Tb 0.7500 0.7500 0.2500
12 Tb 0.7500 0.7500 0.7500
13 Ir 0.0000 0.0000 0.5000
14 Ir 0.0000 0.5000 0.0000
15 Ir 0.5000 0.0000 0.0000
16 Ir 0.5000 0.5000 0.5000

***

Record 4
For Tb2MgS4, a DFT-relaxed cell (PBE, the Materials Project) gives the computed X-ray diffraction stick pattern in this record (a wavelength of 1.5418 Å).
Neutral-atom scattering factors, no anomalous dispersion.

The 12 most intense peaks (10° ≤ 2θ ≤ 80°), sorted by position:
2theta  I/Imax
13.7  21.8
16.1  31.6
21.0  100.0
24.6  40.5
24.9  75.3
26.2  77.9
26.3  37.1
30.9  43.1
31.0  21.9
39.7  23.9
43.1  88.2
47.6  36.1

Structural model:
Cell: 7.2620 8.4091 12.9330 Å, 99.59 95.68 90.01°
Positions (direct):
1 Tb 0.1321 0.4449 0.3047
2 Tb 0.1338 0.9576 0.3083
3 Tb 0.2586 0.1279 0.0006
4 Tb 0.3648 0.2998 0.6936
5 Tb 0.6352 0.7002 0.3064
6 Tb 0.7414 0.8721 0.9994
7 Tb 0.8662 0.0424 0.6917
8 Tb 0.8679 0.5551 0.6953
9 Mg 0.2509 0.6223 0.9962
10 Mg 0.3661 0.7995 0.7000
11 Mg 0.6339 0.2005 0.3000
12 Mg 0.7491 0.3777 0.0038
13 S 0.0950 0.4077 0.1014
14 S 0.1065 0.8962 0.1041
15 S 0.1952 0.5443 0.6288
16 S 0.1970 0.0203 0.6294
17 S 0.3085 0.7183 0.3757
18 S 0.3317 0.2189 0.3721
19 S 0.3923 0.8441 0.8922
20 S 0.4068 0.3555 0.8974
21 S 0.5932 0.6445 0.1026
22 S 0.6077 0.1559 0.1078
23 S 0.6683 0.7811 0.6279
24 S 0.6915 0.2817 0.6243
25 S 0.8030 0.9797 0.3706
26 S 0.8048 0.4557 0.3712
27 S 0.8935 0.1038 0.8959
28 S 0.9050 0.5923 0.8986

***

Record 5
For Tm2Se3O20, a DFT-relaxed cell (PBE, the Materials Project) gives the computed X-ray diffraction stick pattern in this record (a wavelength of 1.5418 Å).
Neutral-atom scattering factors, no anomalous dispersion.

The 12 most intense peaks (10° ≤ 2θ ≤ 80°), sorted by position:
2theta  I/Imax
14.1  30.5
14.7  63.0
15.5  100.0
18.1  51.7
18.8  56.5
24.9  98.0
25.5  28.7
26.0  34.2
28.3  29.6
29.7  43.2
32.3  32.5
33.6  29.7

Structural model:
Cell: 7.2388 7.2388 19.1903 Å, 98.79 98.79 56.47°
Positions (direct):
1 Tm 0.1446 0.1762 0.3962
2 Tm 0.1762 0.1446 0.8962
3 Tm 0.8238 0.8554 0.1038
4 Tm 0.8554 0.8238 0.6038
5 Se 0.1787 0.2330 0.0865
6 Se 0.2330 0.1787 0.5865
7 Se 0.2917 0.7083 0.7500
8 Se 0.7083 0.2917 0.2500
9 Se 0.7670 0.8213 0.4135
10 Se 0.8213 0.7670 0.9135
11 O 0.0515 0.7515 0.7097
12 O 0.0658 0.2129 0.0051
13 O 0.0827 0.4544 0.5821
14 O 0.0940 0.1523 0.1453
15 O 0.1079 0.4935 0.1137
16 O 0.1523 0.0940 0.6453
17 O 0.1667 0.8216 0.1465
18 O 0.1784 0.8333 0.3535
19 O 0.2063 0.7319 0.5725
20 O 0.2129 0.0658 0.5051
21 O 0.2485 0.9485 0.7903
22 O 0.2636 0.3356 0.8194
23 O 0.2681 0.7937 0.9275
24 O 0.3153 0.3631 0.4320
25 O 0.3356 0.2636 0.3194
26 O 0.3631 0.3153 0.9320
27 O 0.3951 0.5246 0.8133
28 O 0.4544 0.0827 0.0821
29 O 0.4754 0.6049 0.6867
30 O 0.4935 0.1079 0.6137
31 O 0.5065 0.8921 0.3863
32 O 0.5246 0.3951 0.3133
33 O 0.5456 0.9173 0.9179
34 O 0.6049 0.4754 0.1867
35 O 0.6369 0.6847 0.0680
36 O 0.6644 0.7364 0.6806
37 O 0.6847 0.6369 0.5680
38 O 0.7319 0.2063 0.0725
39 O 0.7364 0.6644 0.1806
40 O 0.7515 0.0515 0.2097
41 O 0.7871 0.9342 0.4949
42 O 0.7937 0.2681 0.4275
43 O 0.8216 0.1667 0.6465
44 O 0.8333 0.1784 0.8535
45 O 0.8477 0.9060 0.3547
46 O 0.8921 0.5065 0.8863
47 O 0.9060 0.8477 0.8547
48 O 0.9173 0.5456 0.4179
49 O 0.9342 0.7871 0.9949
50 O 0.9485 0.2485 0.2903

***

Record 6
For Nd2H5, a DFT-relaxed cell (PBE, the Materials Project) gives the computed X-ray diffraction stick pattern in this record (a wavelength of 1.5418 Å).
Neutral-atom scattering factors, no anomalous dispersion.

The 12 most intense peaks (10° ≤ 2θ ≤ 80°), sorted by position:
2theta  I/Imax
28.3  100.0
32.4  17.1
33.0  32.9
46.9  26.1
47.4  12.8
55.4  15.2
56.1  29.7
58.6  12.8
75.8  12.0
76.4  6.0
77.6  5.5
78.5  5.5

Structural model:
Cell: 6.7248 6.7248 6.7248 Å, 132.39 132.39 69.62°
Positions (direct):
1 Nd 0.1215 0.3715 0.7500
2 Nd 0.3715 0.1215 0.2500
3 Nd 0.6285 0.8785 0.7500
4 Nd 0.8785 0.6285 0.2500
5 H 0.0000 0.2691 0.2691
6 H 0.0000 0.7309 0.7309
7 H 0.1250 0.8750 0.2500
8 H 0.2691 0.0000 0.7691
9 H 0.2691 0.5000 0.2691
10 H 0.5000 0.2691 0.7691
11 H 0.5000 0.7309 0.2309
12 H 0.7309 0.0000 0.2309
13 H 0.7309 0.5000 0.7309
14 H 0.8750 0.1250 0.7500

***

Record 7
For Tb3Mg, a DFT-relaxed cell (PBE, the Materials Project) gives the computed X-ray diffraction stick pattern in this record (a wavelength of 1.5418 Å).
Neutral-atom scattering factors, no anomalous dispersion.

The 12 most intense peaks (10° ≤ 2θ ≤ 80°), sorted by position:
2theta  I/Imax
24.6  6.7
26.5  17.0
31.6  100.0
35.0  38.8
39.6  12.6
46.4  7.1
50.4  13.9
53.9  20.6
56.6  6.2
60.7  31.0
65.9  11.2
66.9  9.5

Structural model:
Cell: 3.6221 3.6221 9.1040 Å, 90.00 90.00 90.00°
Positions (direct):
1 Tb 0.0000 0.0000 0.0000
2 Tb 0.5000 0.5000 0.2656
3 Tb 0.5000 0.5000 0.7344
4 Mg 0.0000 0.0000 0.5000

***

Record 8
For Y3FeB7, a DFT-relaxed cell (PBE, the Materials Project) gives the computed X-ray diffraction stick pattern in this record (a wavelength of 1.5418 Å).
Neutral-atom scattering factors, no anomalous dispersion.

The 12 most intense peaks (10° ≤ 2θ ≤ 80°), sorted by position:
2theta  I/Imax
26.7  75.5
29.7  83.3
31.0  69.9
32.7  36.7
34.2  40.9
36.9  25.8
38.9  33.8
39.6  100.0
40.1  51.7
43.7  35.5
53.6  28.1
57.3  25.6

Structural model:
Cell: 8.0495 8.0495 9.3145 Å, 90.00 90.00 155.46°
Positions (direct):
1 Y 0.1048 0.8952 0.5606
2 Y 0.1048 0.8952 0.9394
3 Y 0.2426 0.7574 0.2500
4 Y 0.7574 0.2426 0.7500
5 Y 0.8952 0.1048 0.0606
6 Y 0.8952 0.1048 0.4394
7 Fe 0.0543 0.9457 0.2500
8 Fe 0.9457 0.0543 0.7500
9 B 0.2725 0.7275 0.5330
10 B 0.2725 0.7275 0.9670
11 B 0.3702 0.6298 0.6532
12 B 0.3702 0.6298 0.8468
13 B 0.4606 0.5394 0.2500
14 B 0.4781 0.5219 0.5987
15 B 0.4781 0.5219 0.9013
16 B 0.5219 0.4781 0.0987
17 B 0.5219 0.4781 0.4013
18 B 0.5394 0.4606 0.7500
19 B 0.6298 0.3702 0.1532
20 B 0.6298 0.3702 0.3468
21 B 0.7275 0.2725 0.0330
22 B 0.7275 0.2725 0.4670

***

> Which formula does entry 2 have?

SrEuSnSbO6